This entry pairs a crystal structure of TlCoO with its simulated powder X-ray diffraction pattern. Radiation: a wavelength of 1.5418 Å. Structure: a DFT-relaxed cell (GGA+U, Alexandria).
No peak broadening, texture or thermal motion is included.

Most intense lines, 10 to 90 degrees two-theta, in order of rising 2θ:
- 14.45 deg, intensity 73
- 26.31 deg, intensity 83
- 29.14 deg, intensity 62
- 29.48 deg, intensity 100
- 29.71 deg, intensity 53
- 33.01 deg, intensity 84
- 39.66 deg, intensity 49
- 39.91 deg, intensity 54
- 40.27 deg, intensity 50
- 42.34 deg, intensity 62

Crystal structure
```
6
Lattice="6.128 -3.030 0.000 6.128 3.030 0.000 -0.032 0.000 3.007" Properties=species:S:1:pos:R:3 pbc="T T T"
Tl 2.589 0.000 0.009
Tl 9.636 0.000 2.999
Co -0.016 0.000 1.504
Co 6.128 0.000 0.000
O 6.113 1.231 1.504
O 6.113 -1.231 1.504
```